Structure and calculated powder diffraction line list of Lu2CoB6 (a DFT-relaxed cell (PBE, Alexandria); Cu Kα).
Lines closer than 0.1° are merged.

The 6 most intense peaks (15° ≤ 2θ ≤ 90°), in order of falling intensity:
| h k l | Position (°2θ) | I/Imax |
| --- | --- | --- |
| 0 0 1 | 25.54 | 1000 |
| 3 1 1 | 40.51 | 987 |
| 3 1 0 | 30.92 | 830 |
| 0 4 1 | 41.06 | 364 |
| 3 2 1 | 42.89 | 326 |
| 0 4 0 | 31.61 | 297 |

Structure:
```
Lu2CoB6
1.0
8.984 0.000 0.000
0.000 11.323 0.000
0.000 0.000 3.489
Lu Co B
8 4 24
Cartesian
0.505 1.461 0.000
1.583 4.695 0.000
2.909 10.356 0.000
3.987 7.122 0.000
4.997 4.201 0.000
6.075 0.967 0.000
7.401 6.628 0.000
8.479 9.862 0.000
1.258 7.698 0.000
3.234 2.037 0.000
5.750 9.286 0.000
7.726 3.624 0.000
0.135 3.268 1.744
0.481 6.415 1.744
0.962 10.995 1.744
1.201 9.239 1.744
1.860 2.673 1.744
2.226 6.584 1.744
2.266 0.923 1.744
2.632 8.335 1.744
3.291 3.577 1.744
3.530 5.334 1.744
4.011 0.754 1.744
4.357 8.929 1.744
4.627 2.394 1.744
4.973 10.569 1.744
5.454 5.989 1.744
5.693 7.745 1.744
6.352 2.988 1.744
6.718 10.400 1.744
6.758 4.739 1.744
7.124 8.649 1.744
7.782 2.084 1.744
8.021 0.327 1.744
8.503 4.908 1.744
8.849 8.055 1.744
```